Theoretical PXRD pattern of SmYEr4S8 for Cu Kα X-rays, from a structure optimized by DFT (PBE).
Kinematic intensities with the Lorentz-polarization factor, no thermal factor.

Structure:
```
data_SmYEr4S8
_cell_length_a 8.0212
_cell_length_b 8.0212
_cell_length_c 19.7144
_cell_angle_alpha 90.00
_cell_angle_beta 90.00
_cell_angle_gamma 120.00
_symmetry_space_group_name_H-M 'R 3 m'
_symmetry_Int_Tables_number 160
_symmetry_space_group_name_Hall 'R 3 -2"'
loop_
_atom_site_label
_atom_site_type_symbol
_atom_site_fract_x
_atom_site_fract_y
_atom_site_fract_z
Sm1 Sm 0.0000 0.0000 0.0000
Y1 Y 0.0000 0.0000 0.6251
Er1 Er 0.0000 0.0000 0.2510
Er2 Er 0.0014 0.5007 0.1259
S1 S 0.0000 0.0000 0.3831
S2 S 0.0000 0.0000 0.8645
S3 S 0.0257 0.5128 0.3803
S4 S 0.1750 0.3500 0.2055
```

Principal peaks in the range 10° ≤ 2θ ≤ 90°, by angle:
2θ (°), I_rel
22.13, 302
26.03, 1000
31.51, 167
38.85, 118
41.26, 163
41.33, 277
45.11, 282
45.22, 282
62.88, 191
83.45, 138